Entry 1:
Theoretical powder diffractogram of Rb2TiSF6 for Cu Kα, 1.54184 Å, from a structure optimized by DFT (PBE).
Lines closer than 0.1° are merged.

Crystal structure
```
Rb2TiSF6
1.0
-3.2356 3.2356 5.0491
3.2356 -3.2356 5.0491
3.2356 3.2356 -5.0491
Rb Ti S F
2 1 1 6
direct
0.2500 0.7500 0.5000
0.7500 0.2500 0.5000
0.0000 0.0000 0.0000
0.5000 0.5000 0.0000
0.1872 0.1872 0.0000
0.2066 0.2066 0.4132
0.2066 0.7934 0.0000
0.7934 0.2066 0.0000
0.7934 0.7934 0.5868
0.8128 0.8128 0.0000
```

Most intense lines, 15 to 90 degrees two-theta, in order of falling intensity:
26.28°, rel. 1000
27.57°, rel. 418
39.38°, rel. 373
32.88°, rel. 366
47.97°, rel. 305
35.56°, rel. 227
54.10°, rel. 216
16.27°, rel. 160
58.43°, rel. 146
45.58°, rel. 140


Entry 2:
Theoretical powder diffractogram of Rb3SbF12 for Cu Kα, 1.54184 Å, from a structure optimized by DFT (PBE).
Lines closer than 0.1° are merged.

Crystal structure
```
Rb3SbF12
1.0
4.3827 -7.5954 0.0000
4.3827 7.5954 0.0000
-2.7363 0.0000 4.5094
Rb Sb F
3 1 12
direct
0.0000 0.0000 0.0000
0.0000 0.5000 0.0000
0.5000 0.0000 0.0000
0.5000 0.5000 0.5000
0.0427 0.7143 0.6600
0.2398 0.3930 0.5889
0.2828 0.4433 0.1697
0.2857 0.9573 0.3400
0.3930 0.2398 0.5889
0.4433 0.2828 0.1697
0.5567 0.7172 0.8303
0.6070 0.7602 0.4111
0.7143 0.0427 0.6600
0.7172 0.5567 0.8303
0.7602 0.6070 0.4111
0.9573 0.2857 0.3400
```

Most intense lines, 15 to 90 degrees two-theta, in order of falling intensity:
17.88°, rel. 1000
26.53°, rel. 837
22.94°, rel. 436
43.12°, rel. 376
36.21°, rel. 363
23.42°, rel. 358
33.12°, rel. 336
31.20°, rel. 331
24.42°, rel. 324
43.99°, rel. 250